ScTaN2: computed PXRD pattern (a wavelength of 1.5418 Å), based on a crystal structure in the Materials Project, relaxed with GGA-PBE.

Principal peaks in the range 2θ = 5–70°, by angle:
2θ/deg, Rel. int., hkl
16.68, 89, 0 0 2
33.73, 36, 0 0 4
34.69, 100, 1 0 1
37.75, 75, 1 0 2
42.43, 88, 1 0 3
55.27, 40, 1 0 5

Structural model:
```
ScTaN2
1.0
3.0783 0.0000 0.0000
-1.5391 2.6659 0.0000
0.0000 0.0000 10.6296
Sc Ta N
2 2 4
Direct
0.0000 0.0000 0.0000 Sc
0.0000 0.0000 0.5000 Sc
0.3333 0.6667 0.2500 Ta
0.6667 0.3333 0.7500 Ta
0.3333 0.6667 0.6246 N
0.3333 0.6667 0.8754 N
0.6667 0.3333 0.1246 N
0.6667 0.3333 0.3754 N
```